Computed powder XRD pattern of PaBe6Cu6 for Cu Kα, 1.54184 Å, from a PBE-relaxed structure.

Crystal structure
Unit cell a=6.185 b=6.185 c=6.185 alpha=137.75 beta=97.69 gamma=97.24
Positions (direct):
Pa 0.000 0.000 0.000
Be 0.000 0.000 0.500
Be 0.000 0.500 0.000
Be 0.240 0.500 0.740
Be 0.500 0.000 0.000
Be 0.500 0.500 0.500
Be 0.760 0.500 0.260
Cu 0.211 0.711 0.500
Cu 0.346 0.000 0.346
Cu 0.352 0.352 0.000
Cu 0.648 0.648 0.000
Cu 0.654 0.000 0.654
Cu 0.789 0.289 0.500

Most intense lines, 2θ from 15° to 90°, by intensity:
| 2θ/deg | I_rel |
| --- | --- |
| 44.93 | 100.0 |
| 21.82 | 91.7 |
| 38.72 | 68.9 |
| 22.73 | 60.5 |
| 31.67 | 40.8 |
| 40.47 | 36.3 |



Computed powder XRD pattern of BeOs for Cu Kα, 1.54184 Å, from a PBE-relaxed structure.

Crystal structure
Unit cell a=2.803 b=2.803 c=5.695 alpha=90.00 beta=90.00 gamma=90.00
Positions (direct):
Be 0.250 0.250 0.092
Be 0.750 0.750 0.908
Os 0.250 0.250 0.653
Os 0.750 0.750 0.347

Most intense lines, 2θ from 15° to 90°, by intensity:
| 2θ/deg | I_rel |
| --- | --- |
| 35.71 | 100.0 |
| 15.56 | 84.0 |
| 45.41 | 75.0 |
| 45.79 | 41.6 |
| 84.45 | 26.0 |
| 68.44 | 22.1 |



Computed powder XRD pattern of Pa2IrPd4 for Cu Kα, 1.54184 Å, from a PBE-relaxed structure.

Crystal structure
Unit cell a=7.198 b=9.506 c=4.016 alpha=90.00 beta=90.00 gamma=90.00
Positions (direct):
Pa 0.112 0.186 0.000
Pa 0.388 0.686 0.500
Pa 0.612 0.314 0.500
Pa 0.888 0.814 0.000
Ir 0.000 0.000 0.500
Ir 0.500 0.500 0.000
Pd 0.129 0.598 0.000
Pd 0.208 0.391 0.500
Pd 0.292 0.891 0.000
Pd 0.371 0.098 0.500
Pd 0.629 0.902 0.500
Pd 0.708 0.109 0.000
Pd 0.792 0.609 0.500
Pd 0.871 0.402 0.000

Most intense lines, 2θ from 15° to 90°, by intensity:
| 2θ/deg | I_rel |
| --- | --- |
| 38.56 | 100.0 |
| 31.71 | 64.8 |
| 36.11 | 64.5 |
| 38.28 | 50.6 |
| 45.15 | 46.8 |
| 69.32 | 43.6 |



Computed powder XRD pattern of TbSmMg5 for Cu Kα, 1.54184 Å, from a PBE-relaxed structure.

Crystal structure
Unit cell a=5.812 b=5.812 c=6.646 alpha=100.76 beta=100.76 gamma=113.28
Positions (direct):
Tb 0.000 0.000 0.000
Sm 0.500 0.500 0.500
Mg 0.008 0.585 0.274
Mg 0.415 0.992 0.726
Mg 0.500 0.500 0.000
Mg 0.585 0.008 0.274
Mg 0.992 0.415 0.726

Most intense lines, 2θ from 15° to 90°, by intensity:
| 2θ/deg | I_rel |
| --- | --- |
| 18.99 | 100.0 |
| 25.50 | 70.0 |
| 34.12 | 63.3 |
| 35.11 | 55.5 |
| 32.36 | 50.3 |
| 18.28 | 47.9 |



Computed powder XRD pattern of K6HfSe4 for Cu Kα, 1.54184 Å, from a PBE-relaxed structure.

Crystal structure
Unit cell a=10.985 b=10.985 c=8.081 alpha=90.00 beta=90.00 gamma=120.00
Positions (direct):
K 0.067 0.533 0.000
K 0.127 0.254 0.676
K 0.127 0.873 0.676
K 0.254 0.127 0.176
K 0.467 0.533 0.000
K 0.467 0.933 0.000
K 0.533 0.067 0.500
K 0.533 0.467 0.500
K 0.746 0.873 0.676
K 0.873 0.127 0.176
K 0.873 0.746 0.176
K 0.933 0.467 0.500
Hf 0.333 0.667 0.405
Hf 0.667 0.333 0.905
Se 0.208 0.416 0.296
Se 0.208 0.792 0.296
Se 0.333 0.667 0.719
Se 0.416 0.208 0.796
Se 0.584 0.792 0.296
Se 0.667 0.333 0.219
Se 0.792 0.208 0.796
Se 0.792 0.584 0.796

Most intense lines, 2θ from 15° to 90°, by intensity:
| 2θ/deg | I_rel |
| --- | --- |
| 27.14 | 100.0 |
| 30.28 | 62.4 |
| 32.61 | 62.3 |
| 16.14 | 51.4 |
| 29.00 | 45.9 |
| 38.41 | 37.9 |



Computed powder XRD pattern of KNiI for Cu Kα, 1.54184 Å, from a PBE-relaxed structure.

Crystal structure
Unit cell a=6.556 b=6.556 c=7.714 alpha=103.87 beta=103.87 gamma=35.52
Positions (direct):
K 0.000 0.000 0.000
K 0.647 0.647 0.479
Ni 0.347 0.347 0.223
Ni 0.909 0.909 0.409
I 0.397 0.397 0.603
I 0.741 0.741 0.063

Most intense lines, 2θ from 15° to 90°, by intensity:
| 2θ/deg | I_rel |
| --- | --- |
| 16.38 | 100.0 |
| 35.01 | 61.8 |
| 28.96 | 61.0 |
| 31.52 | 56.8 |
| 36.20 | 52.5 |
| 23.84 | 45.1 |